Simulated powder diffraction line list
Compound: K5NaNi5P8O28
Radiation: Cu Kα
Structure: the GGA+U geometry in Alexandria

Largest 12 diffraction maxima, sorted by position, 10 to 90 degrees two-theta:
two_theta, intensity, hkl
11.2, 58, 0 1 1
12.5, 43, 1 0 0
26.7, 31, 2 1 -1
27.9, 100, 2 2 0
28.6, 41, 1 3 1
29.3, 75, 1 -1 2
29.5, 45, -1 1 3
29.8, 39, 1 2 3
30.2, 32, 1 3 0
30.6, 39, 2 2 2
31.3, 37, 1 -2 1
37.1, 33, -2 1 3

Structure:
```
47
Lattice="7.3738 0.0000 0.0000 2.5447 9.1641 0.0000 0.1604 3.5022 9.5530" Properties=species:S:1:pos:R:3 pbc="T T T"
K 0.0000 0.0000 0.0000
K 0.3706 2.2183 3.4624
K 1.2478 5.3508 5.8595
K 5.0702 7.4538 6.5583
K 8.9282 9.4474 7.3588
Na 3.7352 4.5601 8.1006
Ni 4.1617 5.5988 0.5048
Ni 4.1396 1.3377 1.6444
Ni 6.7362 10.2862 4.7655
Ni 5.9876 5.7613 2.9045
Ni 8.7536 5.6747 1.7760
P 2.2178 6.7504 9.2368
P 3.6143 7.8072 2.9788
P 4.9665 10.8995 7.4328
P 3.4722 3.9327 3.4026
P 6.7268 7.5092 0.1765
P 5.5057 3.8997 5.4870
P 6.5036 3.5244 0.5828
P 8.1286 8.1345 3.8921
O 2.3542 8.0369 4.0846
O 2.0563 4.4678 3.3499
O 2.3608 4.6342 0.2977
O 2.9943 6.9525 1.8384
O 2.6323 6.6731 7.7735
O 4.0033 9.1847 2.5058
O 2.0254 3.2002 7.3926
O 3.9964 10.0398 8.2573
O 2.5893 2.0891 0.5217
O 5.2361 10.2606 6.0550
O 4.6571 7.0766 3.8283
O 3.5283 2.3786 3.2999
O 3.9827 4.2536 4.9100
O 4.4207 4.5696 2.3809
O 5.6796 6.8336 1.0830
O 6.4358 10.7751 8.1790
O 5.6902 7.7590 9.2177
O 6.8017 9.0232 0.3391
O 5.5860 4.5487 6.8490
O 5.6080 2.3534 5.4898
O 7.7755 9.4347 3.1261
O 5.9678 2.1911 1.1207
O 6.4710 4.5226 4.4749
O 7.5392 8.3170 5.3033
O 7.1248 4.3990 1.7030
O 7.7157 6.8273 3.2062
O 8.1011 6.8636 0.2366
O 7.9496 6.6058 9.1853
```